No. 1
Theoretical X-ray powder pattern of Ba8P3SI4 for Cu Kα (weighted mean of Kα1 and Kα2), from a crystal structure in Alexandria, relaxed with GGA-PBE.

abc: 9.4684 9.4684 24.9807
angles: 90.00 90.00 120.00
Space group R-3m (No. 166, hexagonal axes)
Symmetry-distinct sites (fractional):
Ba 0.0000 0.0000 0.2344 [6 per cell]
Ba 0.0040 0.5020 0.7663 [18 per cell]
P 0.0000 0.5000 0.5000 [9 per cell]
S 0.0000 0.0000 0.5000 [3 per cell]
I 0.0000 0.0000 0.0000 [3 per cell]
I 0.0000 0.5000 0.0000 [9 per cell]

Most intense lines, 2θ from 10° to 90°, in order of rising 2θ:
| 2θ (°) | intensity | hkl |
| --- | --- | --- |
| 21.97 | 13 | 0 2 1 |
| 26.00 | 100 | 0 2 4 |
| 28.16 | 25 | 2 0 5 |
| 32.25 | 11 | 0 0 9 |
| 36.16 | 30 | 2 0 8 |
| 38.01 | 40 | 2 2 0 |
| 46.63 | 20 | 4 0 4 |
| 50.69 | 18 | 2 2 9 |
| 52.60 | 11 | 0 2 13 |
| 61.67 | 17 | 2 4 4 |

No. 2
Theoretical X-ray powder pattern of Ba5Ga2Ag for Cu Kα (weighted mean of Kα1 and Kα2), from a crystal structure in Alexandria, relaxed with GGA-PBE.

abc: 8.620 8.620 17.862
angles: 90.00 90.00 90.00
Space group I4/mcm (No. 140)
Symmetry-distinct sites (fractional):
Ba 0.000 0.000 0.000 [4 per cell]
Ba 0.174 0.326 0.143 [16 per cell]
Ga 0.106 0.394 0.500 [8 per cell]
Ag 0.000 0.000 0.250 [4 per cell]

Most intense lines, 2θ from 10° to 90°, in order of rising 2θ:
| 2θ (°) | intensity | hkl |
| --- | --- | --- |
| 23.61 | 17 | 2 1 1 |
| 24.71 | 23 | 1 1 4 |
| 27.56 | 100 | 2 1 3 |
| 28.79 | 73 | 2 0 4 |
| 29.30 | 21 | 2 2 0 |
| 32.85 | 48 | 3 1 0 |
| 46.01 | 16 | 4 1 3 |
| 49.27 | 25 | 3 3 4 |
| 53.01 | 16 | 3 1 8 |
| 56.94 | 16 | 4 1 7 |

No. 3
Theoretical X-ray powder pattern of K3Y3SbS8 for Cu Kα (weighted mean of Kα1 and Kα2), from a crystal structure in Alexandria, relaxed with GGA-PBE.

abc: 8.0055 8.0055 22.5024
angles: 90.00 90.00 120.00
Space group R-3m (No. 166, hexagonal axes)
Symmetry-distinct sites (fractional):
K 0.0000 0.5000 0.0000 [9 per cell]
Y 0.0000 0.5000 0.5000 [9 per cell]
Sb 0.0000 0.0000 0.5000 [3 per cell]
S 0.0000 0.0000 0.2335 [6 per cell]
S 0.0110 0.5055 0.2317 [18 per cell]

Most intense lines, 2θ from 10° to 90°, in order of rising 2θ:
| 2θ (°) | intensity | hkl |
| --- | --- | --- |
| 11.80 | 71 | 0 0 3 |
| 26.01 | 15 | 0 2 1 |
| 26.91 | 15 | 2 0 2 |
| 30.29 | 100 | 0 2 4 |
| 38.18 | 19 | 0 2 7 |
| 41.34 | 33 | 2 0 8 |
| 45.31 | 32 | 2 2 0 |
| 46.99 | 13 | 2 2 3 |
| 55.47 | 16 | 4 0 4 |
| 74.33 | 13 | 2 4 4 |